[1]
This entry pairs a crystal structure of Rb2AgAuCl6 with its computed powder XRD pattern. Radiation: a wavelength of 1.5418 Å. Structure: a PBE-relaxed structure.
Lines closer than 0.1° are merged.

The 8 most intense peaks (2θ from 10° to 80°), most intense first:
- d = 3.654 Å, rel. 100, (2 2 0)
- d = 2.584 Å, rel. 59, (4 0 0)
- d = 2.110 Å, rel. 46, (4 2 2)
- d = 1.827 Å, rel. 40, (4 4 0)
- d = 5.168 Å, rel. 31, (2 0 0)
- d = 1.381 Å, rel. 24, (6 4 2)
- d = 1.634 Å, rel. 21, (6 2 0)
- d = 2.311 Å, rel. 15, (4 2 0)

Structure:
```
data_Rb2AgAuCl6
_chemical_formula_sum 'Rb8 Ag4 Au4 Cl24'
_cell_length_a 10.336
_cell_length_b 10.336
_cell_length_c 10.336
_cell_angle_alpha 90.00
_cell_angle_beta 90.00
_cell_angle_gamma 90.00
_space_group_name_H-M_alt 'F m -3 m'
_space_group_IT_number 225
_space_group_name_Hall '-F 4 2 3'
loop_
_atom_site_label
_atom_site_fract_x
_atom_site_fract_y
_atom_site_fract_z
_atom_site_occupancy
Rb1 0.250 0.250 0.250 1
Ag1 0.000 0.000 0.000 1
Au1 0.000 0.000 0.500 1
Cl1 0.000 0.000 0.253 1
```

=====

[2]
This entry pairs a crystal structure of Dy2AgAu with its computed powder XRD pattern. Radiation: a wavelength of 1.5418 Å. Structure: a PBE-relaxed structure.
Lines closer than 0.1° are merged.

The 8 most intense peaks (2θ from 10° to 80°), most intense first:
- d = 2.556 Å, rel. 100, (2 2 0)
- d = 1.476 Å, rel. 37, (4 2 2)
- d = 1.808 Å, rel. 18, (4 0 0)
- d = 1.278 Å, rel. 11, (4 4 0)
- d = 4.174 Å, rel. 4, (1 1 1)
- d = 2.180 Å, rel. 2, (3 1 1)
- d = 1.659 Å, rel. 1, (3 3 1)
- d = 1.222 Å, rel. 1, (5 3 1)

Structure:
```
data_Dy2AgAu
_chemical_formula_sum 'Dy8 Ag4 Au4'
_cell_length_a 7.230
_cell_length_b 7.230
_cell_length_c 7.230
_cell_angle_alpha 90.00
_cell_angle_beta 90.00
_cell_angle_gamma 90.00
_space_group_name_H-M_alt 'F m -3 m'
_space_group_IT_number 225
_space_group_name_Hall '-F 4 2 3'
loop_
_atom_site_label
_atom_site_fract_x
_atom_site_fract_y
_atom_site_fract_z
_atom_site_occupancy
Dy1 0.250 0.250 0.250 1
Ag1 0.000 0.000 0.000 1
Au1 0.000 0.000 0.500 1
```

=====

[3]
This entry pairs a crystal structure of Er2AgAu with its computed powder XRD pattern. Radiation: a wavelength of 1.5418 Å. Structure: a PBE-relaxed structure.
Lines closer than 0.1° are merged.

The 8 most intense peaks (2θ from 10° to 80°), most intense first:
- d = 2.530 Å, rel. 100, (2 2 0)
- d = 1.461 Å, rel. 36, (4 2 2)
- d = 1.789 Å, rel. 18, (4 0 0)
- d = 1.265 Å, rel. 11, (4 4 0)
- d = 4.132 Å, rel. 4, (1 1 1)
- d = 2.158 Å, rel. 2, (3 1 1)
- d = 1.642 Å, rel. 1, (3 3 1)
- d = 1.210 Å, rel. 1, (5 3 1)

Structure:
```
data_Er2AgAu
_chemical_formula_sum 'Er8 Ag4 Au4'
_cell_length_a 7.156
_cell_length_b 7.156
_cell_length_c 7.156
_cell_angle_alpha 90.00
_cell_angle_beta 90.00
_cell_angle_gamma 90.00
_space_group_name_H-M_alt 'F m -3 m'
_space_group_IT_number 225
_space_group_name_Hall '-F 4 2 3'
loop_
_atom_site_label
_atom_site_fract_x
_atom_site_fract_y
_atom_site_fract_z
_atom_site_occupancy
Er1 0.250 0.250 0.250 1
Ag1 0.000 0.000 0.000 1
Au1 0.000 0.000 0.500 1
```

=====

[4]
This entry pairs a crystal structure of AgAuF7 with its computed powder XRD pattern. Radiation: a wavelength of 1.5418 Å. Structure: a PBE-relaxed structure.
Lines closer than 0.1° are merged.

The 8 most intense peaks (2θ from 10° to 80°), most intense first:
- d = 4.775 Å, rel. 100, (1 1 1)
- d = 3.686 Å, rel. 60, (0 2 0)
- d = 3.123 Å, rel. 45, (0 1 3)
- d = 2.883 Å, rel. 24, (2 1 2)
- d = 4.320 Å, rel. 22, (1 0 2)
- d = 1.785 Å, rel. 20, (3 1 4)
- d = 2.806 Å, rel. 18, (1 2 2)
- d = 2.002 Å, rel. 17, (0 3 3)

Structure:
```
data_AgAuF7
_chemical_formula_sum 'Ag4 Au4 F28'
_cell_length_a 7.872
_cell_length_b 7.382
_cell_length_c 10.335
_cell_angle_alpha 90.00
_cell_angle_beta 90.00
_cell_angle_gamma 90.00
_space_group_name_H-M_alt 'P n m a'
_space_group_IT_number 62
loop_
_space_group_symop_operation_xyz
'x,y,z'
'-x,-y,-z'
'-x+1/2,-y,z+1/2'
'x+1/2,y,-z+1/2'
'x+1/2,-y+1/2,-z+1/2'
'-x+1/2,y+1/2,z+1/2'
'-x,y+1/2,-z'
'x,-y+1/2,z'
loop_
_atom_site_label
_atom_site_fract_x
_atom_site_fract_y
_atom_site_fract_z
_atom_site_occupancy
Ag1 0.133 0.250 0.242 1
Au1 0.196 0.750 0.056 1
F1 0.033 0.250 0.026 1
F2 0.082 0.250 0.636 1
F3 0.113 0.750 0.695 1
F4 0.119 0.565 0.180 1
F5 0.226 0.071 0.430 1
```

=====

[5]
This entry pairs a crystal structure of AgAuF4 with its computed powder XRD pattern. Radiation: a wavelength of 1.5418 Å. Structure: a PBE-relaxed structure.
Lines closer than 0.1° are merged.

The 8 most intense peaks (2θ from 10° to 80°), most intense first:
- d = 3.312 Å, rel. 100, (1 1 2)
- d = 1.760 Å, rel. 33, (3 1 2)
- d = 2.004 Å, rel. 31, (2 0 4)
- d = 2.938 Å, rel. 27, (2 0 0)
- d = 2.078 Å, rel. 16, (2 2 0)
- d = 1.673 Å, rel. 14, (1 1 6)
- d = 1.303 Å, rel. 13, (3 1 6)
- d = 1.656 Å, rel. 12, (2 2 4)

Structure:
```
data_AgAuF4
_chemical_formula_sum 'Ag4 Au4 F16'
_cell_length_a 5.877
_cell_length_b 5.877
_cell_length_c 10.965
_cell_angle_alpha 90.00
_cell_angle_beta 90.00
_cell_angle_gamma 90.00
_space_group_name_H-M_alt 'I 4/m c m'
_space_group_IT_number 140
_space_group_name_Hall '-I 4 2c'
loop_
_atom_site_label
_atom_site_fract_x
_atom_site_fract_y
_atom_site_fract_z
_atom_site_occupancy
Ag1 0.000 0.000 0.250 1
Au1 0.000 0.500 0.000 1
F1 0.170 0.330 0.128 1
```

=====

[6]
This entry pairs a crystal structure of K2AgAuF6 with its computed powder XRD pattern. Radiation: a wavelength of 1.5418 Å. Structure: a PBE-relaxed structure.
Lines closer than 0.1° are merged.

The 8 most intense peaks (2θ from 10° to 80°), most intense first:
- d = 3.145 Å, rel. 100, (2 2 0)
- d = 4.448 Å, rel. 67, (2 0 0)
- d = 1.816 Å, rel. 41, (4 2 2)
- d = 2.224 Å, rel. 39, (4 0 0)
- d = 1.989 Å, rel. 32, (4 2 0)
- d = 1.573 Å, rel. 24, (4 4 0)
- d = 1.407 Å, rel. 18, (6 2 0)
- d = 1.483 Å, rel. 15, (6 0 0)

Structure:
```
data_K2AgAuF6
_chemical_formula_sum 'K8 Ag4 Au4 F24'
_cell_length_a 8.897
_cell_length_b 8.897
_cell_length_c 8.897
_cell_angle_alpha 90.00
_cell_angle_beta 90.00
_cell_angle_gamma 90.00
_space_group_name_H-M_alt 'F m -3 m'
_space_group_IT_number 225
_space_group_name_Hall '-F 4 2 3'
loop_
_atom_site_label
_atom_site_fract_x
_atom_site_fract_y
_atom_site_fract_z
_atom_site_occupancy
K1 0.250 0.250 0.250 1
Ag1 0.000 0.000 0.000 1
Au1 0.000 0.000 0.500 1
F1 0.000 0.000 0.252 1
```

=====

[7]
This entry pairs a crystal structure of Na2AgAuF6 with its computed powder XRD pattern. Radiation: a wavelength of 1.5418 Å. Structure: a PBE-relaxed structure.
Lines closer than 0.1° are merged.

The 8 most intense peaks (2θ from 10° to 80°), most intense first:
- d = 4.407 Å, rel. 100, (2 0 0)
- d = 3.116 Å, rel. 95, (2 2 0)
- d = 1.971 Å, rel. 46, (4 2 0)
- d = 2.204 Å, rel. 40, (4 0 0)
- d = 1.799 Å, rel. 40, (4 2 2)
- d = 1.558 Å, rel. 25, (4 4 0)
- d = 1.469 Å, rel. 22, (6 0 0)
- d = 1.394 Å, rel. 17, (6 2 0)

Structure:
```
data_Na2AgAuF6
_chemical_formula_sum 'Na8 Ag4 Au4 F24'
_cell_length_a 8.815
_cell_length_b 8.815
_cell_length_c 8.815
_cell_angle_alpha 90.00
_cell_angle_beta 90.00
_cell_angle_gamma 90.00
_space_group_name_H-M_alt 'F m -3 m'
_space_group_IT_number 225
_space_group_name_Hall '-F 4 2 3'
loop_
_atom_site_label
_atom_site_fract_x
_atom_site_fract_y
_atom_site_fract_z
_atom_site_occupancy
Na1 0.250 0.250 0.250 1
Ag1 0.000 0.000 0.000 1
Au1 0.000 0.000 0.500 1
F1 0.000 0.000 0.251 1
```

=====

[8]
This entry pairs a crystal structure of Rb2AgAuF6 with its computed powder XRD pattern. Radiation: a wavelength of 1.5418 Å. Structure: a PBE-relaxed structure.
Lines closer than 0.1° are merged.

The 8 most intense peaks (2θ from 10° to 80°), most intense first:
- d = 3.166 Å, rel. 100, (2 2 0)
- d = 1.828 Å, rel. 42, (4 2 2)
- d = 2.239 Å, rel. 35, (4 0 0)
- d = 1.583 Å, rel. 22, (4 4 0)
- d = 4.477 Å, rel. 19, (2 0 0)
- d = 1.416 Å, rel. 18, (6 2 0)
- d = 2.002 Å, rel. 9, (4 2 0)
- d = 5.170 Å, rel. 8, (1 1 1)

Structure:
```
data_Rb2AgAuF6
_chemical_formula_sum 'Rb8 Ag4 Au4 F24'
_cell_length_a 8.955
_cell_length_b 8.955
_cell_length_c 8.955
_cell_angle_alpha 90.00
_cell_angle_beta 90.00
_cell_angle_gamma 90.00
_space_group_name_H-M_alt 'F m -3 m'
_space_group_IT_number 225
_space_group_name_Hall '-F 4 2 3'
loop_
_atom_site_label
_atom_site_fract_x
_atom_site_fract_y
_atom_site_fract_z
_atom_site_occupancy
Rb1 0.250 0.250 0.250 1
Ag1 0.000 0.000 0.000 1
Au1 0.000 0.000 0.500 1
F1 0.000 0.000 0.253 1
```

=====

[9]
This entry pairs a crystal structure of Ho2AgAu with its computed powder XRD pattern. Radiation: a wavelength of 1.5418 Å. Structure: a PBE-relaxed structure.
Lines closer than 0.1° are merged.

The 8 most intense peaks (2θ from 10° to 80°), most intense first:
- d = 2.543 Å, rel. 100, (2 2 0)
- d = 1.468 Å, rel. 36, (4 2 2)
- d = 1.798 Å, rel. 18, (4 0 0)
- d = 1.271 Å, rel. 11, (4 4 0)
- d = 4.152 Å, rel. 4, (1 1 1)
- d = 2.168 Å, rel. 2, (3 1 1)
- d = 1.650 Å, rel. 1, (3 3 1)
- d = 1.216 Å, rel. 1, (5 3 1)

Structure:
```
data_Ho2AgAu
_chemical_formula_sum 'Ho8 Ag4 Au4'
_cell_length_a 7.192
_cell_length_b 7.192
_cell_length_c 7.192
_cell_angle_alpha 90.00
_cell_angle_beta 90.00
_cell_angle_gamma 90.00
_space_group_name_H-M_alt 'F m -3 m'
_space_group_IT_number 225
_space_group_name_Hall '-F 4 2 3'
loop_
_atom_site_label
_atom_site_fract_x
_atom_site_fract_y
_atom_site_fract_z
_atom_site_occupancy
Ho1 0.250 0.250 0.250 1
Ag1 0.000 0.000 0.000 1
Au1 0.000 0.000 0.500 1
```

=====

[10]
This entry pairs a crystal structure of Rb2AgAu3I8 with its computed powder XRD pattern. Radiation: a wavelength of 1.5418 Å. Structure: a PBE-relaxed structure.
Lines closer than 0.1° are merged.

The 8 most intense peaks (2θ from 10° to 80°), most intense first:
- d = 2.968 Å, rel. 100, (2 2 -4)
- d = 5.935 Å, rel. 60, (1 1 -2)
- d = 3.046 Å, rel. 47, (4 0 2)
- d = 3.463 Å, rel. 44, (1 1 5)
- d = 1.968 Å, rel. 37, (6 2 -2)
- d = 3.790 Å, rel. 30, (1 1 -5)
- d = 6.739 Å, rel. 29, (2 0 0)
- d = 4.686 Å, rel. 29, (2 0 -4)

Structure:
```
data_Rb2AgAu3I8
_chemical_formula_sum 'Rb8 Ag4 Au12 I32'
_cell_length_a 13.757
_cell_length_b 7.668
_cell_length_c 21.963
_cell_angle_alpha 90.00
_cell_angle_beta 101.54
_cell_angle_gamma 90.00
_space_group_name_H-M_alt 'C 1 2/c 1'
_space_group_IT_number 15
loop_
_space_group_symop_operation_xyz
'x,y,z'
'-x,-y,-z'
'-x,y,-z+1/2'
'x,-y,z+1/2'
'x+1/2,y+1/2,z'
'-x+1/2,-y+1/2,-z'
'-x+1/2,y+1/2,-z+1/2'
'x+1/2,-y+1/2,z+1/2'
loop_
_atom_site_label
_atom_site_fract_x
_atom_site_fract_y
_atom_site_fract_z
_atom_site_occupancy
Rb1 0.204 0.031 0.096 1
Ag1 0.000 0.483 0.750 1
Au1 0.000 0.500 0.000 1
Au2 0.097 0.001 0.801 1
I1 0.037 0.272 0.354 1
I2 0.050 0.222 0.937 1
I3 0.170 0.265 0.749 1
I4 0.190 0.468 0.560 1
```

=====

[11]
This entry pairs a crystal structure of Li2AgAu with its computed powder XRD pattern. Radiation: a wavelength of 1.5418 Å. Structure: a PBE-relaxed structure.
Lines closer than 0.1° are merged.

The 8 most intense peaks (2θ from 10° to 80°), most intense first:
- d = 3.155 Å, rel. 100, (2 0 0)
- d = 2.231 Å, rel. 88, (2 2 0)
- d = 1.411 Å, rel. 35, (4 2 0)
- d = 1.288 Å, rel. 30, (4 2 2)
- d = 1.821 Å, rel. 28, (2 2 2)
- d = 1.577 Å, rel. 15, (4 0 0)
- d = 3.643 Å, rel. 15, (1 1 1)
- d = 1.902 Å, rel. 8, (3 1 1)

Structure:
```
data_Li2AgAu
_chemical_formula_sum 'Li8 Ag4 Au4'
_cell_length_a 6.309
_cell_length_b 6.309
_cell_length_c 6.309
_cell_angle_alpha 90.00
_cell_angle_beta 90.00
_cell_angle_gamma 90.00
_space_group_name_H-M_alt 'F m -3 m'
_space_group_IT_number 225
_space_group_name_Hall '-F 4 2 3'
loop_
_atom_site_label
_atom_site_fract_x
_atom_site_fract_y
_atom_site_fract_z
_atom_site_occupancy
Li1 0.250 0.250 0.250 1
Ag1 0.000 0.000 0.000 1
Au1 0.000 0.000 0.500 1
```

=====

[12]
This entry pairs a crystal structure of Lu2AgAu with its computed powder XRD pattern. Radiation: a wavelength of 1.5418 Å. Structure: a PBE-relaxed structure.
Lines closer than 0.1° are merged.

The 8 most intense peaks (2θ from 10° to 80°), most intense first:
- d = 2.506 Å, rel. 100, (2 2 0)
- d = 1.447 Å, rel. 36, (4 2 2)
- d = 1.772 Å, rel. 18, (4 0 0)
- d = 1.253 Å, rel. 11, (4 4 0)
- d = 4.093 Å, rel. 4, (1 1 1)
- d = 2.137 Å, rel. 2, (3 1 1)
- d = 1.626 Å, rel. 1, (3 3 1)
- d = 1.364 Å, rel. 1, (5 1 1)

Structure:
```
data_Lu2AgAu
_chemical_formula_sum 'Lu8 Ag4 Au4'
_cell_length_a 7.089
_cell_length_b 7.089
_cell_length_c 7.089
_cell_angle_alpha 90.00
_cell_angle_beta 90.00
_cell_angle_gamma 90.00
_space_group_name_H-M_alt 'F m -3 m'
_space_group_IT_number 225
_space_group_name_Hall '-F 4 2 3'
loop_
_atom_site_label
_atom_site_fract_x
_atom_site_fract_y
_atom_site_fract_z
_atom_site_occupancy
Lu1 0.250 0.250 0.250 1
Ag1 0.000 0.000 0.000 1
Au1 0.000 0.000 0.500 1
```

=====

[13]
This entry pairs a crystal structure of Mg2AgAu with its computed powder XRD pattern. Radiation: a wavelength of 1.5418 Å. Structure: a PBE-relaxed structure.
Lines closer than 0.1° are merged.

The 8 most intense peaks (2θ from 10° to 80°), most intense first:
- d = 2.344 Å, rel. 100, (2 2 0)
- d = 3.315 Å, rel. 65, (2 0 0)
- d = 1.353 Å, rel. 34, (4 2 2)
- d = 1.483 Å, rel. 24, (4 2 0)
- d = 1.914 Å, rel. 19, (2 2 2)
- d = 1.658 Å, rel. 17, (4 0 0)
- d = 3.828 Å, rel. 13, (1 1 1)
- d = 1.999 Å, rel. 7, (3 1 1)

Structure:
```
data_Mg2AgAu
_chemical_formula_sum 'Mg8 Ag4 Au4'
_cell_length_a 6.630
_cell_length_b 6.630
_cell_length_c 6.630
_cell_angle_alpha 90.00
_cell_angle_beta 90.00
_cell_angle_gamma 90.00
_space_group_name_H-M_alt 'F m -3 m'
_space_group_IT_number 225
_space_group_name_Hall '-F 4 2 3'
loop_
_atom_site_label
_atom_site_fract_x
_atom_site_fract_y
_atom_site_fract_z
_atom_site_occupancy
Mg1 0.250 0.250 0.250 1
Ag1 0.000 0.000 0.000 1
Au1 0.000 0.000 0.500 1
```

=====

[14]
This entry pairs a crystal structure of AgAuO2 with its computed powder XRD pattern. Radiation: a wavelength of 1.5418 Å. Structure: a PBE-relaxed structure.
Lines closer than 0.1° are merged.

The 8 most intense peaks (2θ from 10° to 80°), most intense first:
- d = 2.877 Å, rel. 100, (1 1 2)
- d = 1.798 Å, rel. 30, (2 0 4)
- d = 1.461 Å, rel. 26, (3 1 2)
- d = 2.399 Å, rel. 24, (2 0 0)
- d = 1.597 Å, rel. 17, (1 1 6)
- d = 2.716 Å, rel. 17, (0 0 4)
- d = 1.696 Å, rel. 12, (2 2 0)
- d = 4.389 Å, rel. 11, (1 0 1)

Structure:
```
data_AgAuO2
_chemical_formula_sum 'Ag4 Au4 O8'
_cell_length_a 4.797
_cell_length_b 4.797
_cell_length_c 10.865
_cell_angle_alpha 90.00
_cell_angle_beta 90.00
_cell_angle_gamma 90.00
_space_group_name_H-M_alt 'I 41 2 2'
_space_group_IT_number 98
_space_group_name_Hall 'I 4bw 2bw'
loop_
_atom_site_label
_atom_site_fract_x
_atom_site_fract_y
_atom_site_fract_z
_atom_site_occupancy
Ag1 0.000 0.000 0.000 1
Au1 0.000 0.000 0.500 1
O1 0.220 0.250 0.625 1
```